The following is a simulated XRD peak list of GaPRuAu2S. It was derived from a crystal structure in Alexandria, relaxed with PBE, using CuKα.

Most intense lines, 2θ from 5° to 70°, in order of falling intensity:
Position (°2θ), d_spacing, I/Imax, (hkl)
28.15, 3.170, 100, 1 1 0
44.25, 2.047, 48, 3 1 -3
32.43, 2.761, 43, 2 0 -3
21.87, 4.064, 30, 2 0 0
42.45, 2.129, 28, 3 1 0
12.37, 7.156, 24, 0 0 1
52.38, 1.747, 23, 1 1 3
30.32, 2.948, 23, 2 0 1
33.10, 2.706, 19, 1 1 1
44.59, 2.032, 18, 4 0 0

Atomic structure:
Lattice parameters (Å, degrees): 9.4458 3.4431 8.3156 90.00 120.62 90.00
Space group Cm (No. 8)
One atom of each set of equivalent atoms:
Ga1 0.0000 0.0000 0.0000 (multiplicity 2)
P1 0.2924 0.5000 0.4300 (multiplicity 2)
Ru1 0.2952 0.0000 0.2527 (multiplicity 2)
Au1 0.0386 0.0000 0.7135 (multiplicity 2)
Au2 0.0766 0.0000 0.3908 (multiplicity 2)
S1 0.3182 0.0000 0.9792 (multiplicity 2)

---

The following is a simulated XRD peak list of GaPRuAu2S. It was derived from a crystal structure in Alexandria, relaxed with PBE, using CuKα.

Most intense lines, 2θ from 5° to 70°, in order of falling intensity:
Position (°2θ), d_spacing, I/Imax, (hkl)
17.19, 5.157, 100, 0 1 -1
29.27, 3.051, 80, 0 1 -2
33.50, 2.675, 71, 1 0 1
45.97, 1.974, 70, 0 3 -1
33.66, 2.662, 69, 0 2 0
33.27, 2.693, 60, 1 1 -1
34.99, 2.564, 57, -1 1 1
43.70, 2.071, 42, 0 1 2
38.56, 2.335, 32, 1 -2 0
37.00, 2.430, 30, 1 -2 1

Atomic structure:
Lattice parameters (Å, degrees): 3.3973 6.0726 6.1202 116.13 92.50 99.99
Space group P1 (No. 1)
One atom of each set of equivalent atoms:
Ga1 0.0000 0.0000 0.0000 (multiplicity 1)
P1 0.7792 0.3447 0.6501 (multiplicity 1)
Ru1 0.2893 0.3451 0.8837 (multiplicity 1)
Au1 0.6490 0.8976 0.5596 (multiplicity 1)
Au2 0.9161 0.4463 0.3214 (multiplicity 1)
S1 0.4479 0.7874 0.0995 (multiplicity 1)

---

The following is a simulated XRD peak list of GaPRuAu2S. It was derived from a crystal structure in Alexandria, relaxed with PBE, using CuKα.

Most intense lines, 2θ from 5° to 70°, in order of falling intensity:
Position (°2θ), d_spacing, I/Imax, (hkl)
25.40, 3.507, 100, 1 0 0
32.61, 2.746, 80, 0 1 2
30.87, 2.896, 74, 1 1 0
40.76, 2.214, 69, 0 2 -1
26.27, 3.393, 61, 1 0 1
32.97, 2.717, 61, 1 -1 1
31.54, 2.837, 55, 0 0 2
16.88, 5.251, 55, 0 1 0
45.05, 2.012, 54, 1 2 2
45.98, 1.974, 53, 1 0 -2

Atomic structure:
Lattice parameters (Å, degrees): 3.6280 5.3731 6.0012 77.81 75.14 87.70
Space group P1 (No. 1)
One atom of each set of equivalent atoms:
Ga1 0.0000 0.0000 0.0000 (multiplicity 1)
P1 0.5669 0.4867 0.7859 (multiplicity 1)
Ru1 0.1368 0.3396 0.6325 (multiplicity 1)
Au1 0.3213 0.8548 0.5399 (multiplicity 1)
Au2 0.4420 0.6396 0.1459 (multiplicity 1)
S1 0.7770 0.2359 0.3516 (multiplicity 1)

---

The following is a simulated XRD peak list of Pa4Ga12Au. It was derived from a crystal structure in Alexandria, relaxed with PBE, using CuKα.

Most intense lines, 2θ from 5° to 70°, in order of falling intensity:
Position (°2θ), d_spacing, I/Imax, (hkl)
35.75, 2.512, 100, 2 2 2
29.02, 3.076, 88, 2 2 0
41.51, 2.175, 78, 4 0 0
60.16, 1.538, 46, 4 4 0
51.45, 1.776, 29, 4 2 2
68.16, 1.376, 24, 6 2 0
38.72, 2.326, 21, 3 2 1
20.41, 4.351, 19, 2 0 0
46.68, 1.946, 16, 4 2 0
32.54, 2.752, 13, 3 1 0

Atomic structure:
Lattice parameters (Å, degrees): 8.7015 8.7015 8.7015 90.00 90.00 90.00
Space group Im-3m (No. 229)
One atom of each set of equivalent atoms:
Pa1 0.2500 0.2500 0.2500 (multiplicity 8)
Ga1 0.0000 0.0000 0.3040 (multiplicity 12)
Ga2 0.0000 0.2500 0.5000 (multiplicity 12)
Au1 0.0000 0.0000 0.0000 (multiplicity 2)

---

The following is a simulated XRD peak list of Pa4Ga16Au3. It was derived from a crystal structure in Alexandria, relaxed with PBE, using CuKα.

Most intense lines, 2θ from 5° to 70°, in order of falling intensity:
Position (°2θ), d_spacing, I/Imax, (hkl)
37.25, 2.414, 100, 2 0 3
40.50, 2.227, 72, 2 2 0
31.14, 2.872, 72, 1 1 3
19.93, 4.455, 39, 1 1 0
51.95, 1.760, 32, 3 1 3
28.33, 3.150, 24, 2 0 0
58.61, 1.575, 23, 4 0 0
43.07, 2.100, 22, 2 0 4
40.00, 2.254, 18, 0 0 5
45.53, 1.992, 15, 3 1 0

Atomic structure:
Lattice parameters (Å, degrees): 6.3003 6.3003 11.2706 90.00 90.00 90.00
Space group P4/mmm (No. 123)
One atom of each set of equivalent atoms:
Pa1 0.0000 0.5000 0.1858 (multiplicity 4)
Ga1 0.0000 0.0000 0.1966 (multiplicity 2)
Ga2 0.2093 0.2093 0.0000 (multiplicity 4)
Ga3 0.2421 0.2421 0.3689 (multiplicity 8)
Ga4 0.5000 0.5000 0.2335 (multiplicity 2)
Au1 0.0000 0.5000 0.5000 (multiplicity 2)
Au2 0.5000 0.5000 0.0000 (multiplicity 1)

---

The following is a simulated XRD peak list of PaZn2Ga2Au2. It was derived from a crystal structure in Alexandria, relaxed with PBE, using CuKα.

Most intense lines, 2θ from 5° to 70°, in order of falling intensity:
Position (°2θ), d_spacing, I/Imax, (hkl)
36.02, 2.493, 100, 1 0 7
40.83, 2.210, 83, 1 1 0
30.38, 2.942, 33, 0 1 5
24.51, 3.632, 31, 0 1 2
55.57, 1.654, 29, 0 2 7
64.34, 1.448, 15, 1 1 12
61.42, 1.510, 15, 0 1 14
47.46, 1.916, 11, 0 0 12
54.92, 1.672, 9, 1 1 9
51.73, 1.767, 8, 2 0 5

Atomic structure:
Lattice parameters (Å, degrees): 4.4205 4.4205 22.9981 90.00 90.00 120.00
Space group R-3m (No. 166, hexagonal axes)
One atom of each set of equivalent atoms:
Pa1 0.0000 0.0000 0.0000 (multiplicity 3)
Zn1 0.0000 0.0000 0.1403 (multiplicity 6)
Ga1 0.0000 0.0000 0.2633 (multiplicity 6)
Au1 0.0000 0.0000 0.4266 (multiplicity 6)

---

The following is a simulated XRD peak list of GaPbAu. It was derived from a crystal structure in Alexandria, relaxed with PBE, using CuKα.

Most intense lines, 2θ from 5° to 70°, in order of falling intensity:
Position (°2θ), d_spacing, I/Imax, (hkl)
34.95, 2.567, 100, 1 0 3
37.00, 2.430, 49, 1 1 0
65.36, 1.428, 33, 2 1 3
27.07, 3.294, 24, 1 0 1
53.32, 1.718, 17, 2 0 0
48.93, 1.861, 15, 1 1 4
62.26, 1.491, 14, 1 0 7
61.32, 1.512, 14, 1 1 6
30.87, 2.896, 13, 0 0 4
47.06, 1.931, 7, 0 0 6

Atomic structure:
Lattice parameters (Å, degrees): 3.4360 3.4360 11.5855 90.00 90.00 90.00
Space group I4mm (No. 107)
One atom of each set of equivalent atoms:
Ga1 0.0000 0.0000 0.0000 (multiplicity 2)
Pb1 0.0000 0.0000 0.6974 (multiplicity 2)
Au1 0.0000 0.0000 0.3884 (multiplicity 2)

---

The following is a simulated XRD peak list of Ga2PbAu4. It was derived from a crystal structure in Alexandria, relaxed with PBE, using CuKα.

Most intense lines, 2θ from 5° to 70°, in order of falling intensity:
Position (°2θ), d_spacing, I/Imax, (hkl)
38.48, 2.339, 100, 1 3 -3
31.23, 2.864, 89, 1 2 1
37.38, 2.406, 77, 0 7 1
32.92, 2.721, 51, 1 5 0
32.26, 2.775, 49, 1 4 -2
39.78, 2.266, 35, 2 1 -2
35.84, 2.505, 35, 1 6 -1
39.57, 2.277, 30, 0 1 3
29.89, 2.989, 30, 0 3 2
40.55, 2.225, 24, 0 2 3

Atomic structure:
Lattice parameters (Å, degrees): 4.6434 17.9701 7.6804 90.00 116.23 90.00
Space group P2_1/c (No. 14)
One atom of each set of equivalent atoms:
Ga1 0.0468 0.0480 0.2222 (multiplicity 4)
Ga2 0.1763 0.2055 0.0626 (multiplicity 4)
Pb1 0.2238 0.6349 0.8841 (multiplicity 4)
Au1 0.1032 0.6823 0.2140 (multiplicity 4)
Au2 0.3325 0.0700 0.9829 (multiplicity 4)
Au3 0.3477 0.0072 0.6312 (multiplicity 4)
Au4 0.4927 0.7087 0.6401 (multiplicity 4)